This entry pairs a crystal structure of Al3Ga3Ag with its computed powder diffraction line list. Radiation: Cu Kα X-rays. Structure: a crystal structure in Alexandria, relaxed with PBE.
Neutral-atom scattering factors, no anomalous dispersion.

Atomic structure:
```
Al3Ga3Ag
1.0
5.069 0.000 0.000
1.201 7.376 0.000
2.464 3.095 6.585
Al Ga Ag
6 6 2
Cartesian
2.405 2.139 2.800
3.133 4.698 3.753
2.279 4.386 0.960
6.454 6.084 5.625
5.600 5.772 2.832
6.329 8.331 3.785
3.968 5.005 6.534
2.913 6.918 1.903
4.574 9.790 5.607
4.160 0.681 0.978
5.821 3.552 4.682
4.766 5.465 0.050
3.915 7.233 4.614
4.819 3.237 1.970
```

Most intense lines, 2θ from 10° to 90°, by intensity:
(-1 3 1), 43.55°, I = 1000; (1 -1 2), 36.20°, I = 863; (2 0 0), 37.47°, I = 775; (0 2 3), 38.32°, I = 741; (1 3 1), 39.15°, I = 689; (2 2 3), 44.66°, I = 472; (1 1 0), 22.62°, I = 202; (3 1 5), 74.88°, I = 187; (3 -1 2), 61.56°, I = 176; (1 1 5), 62.68°, I = 176

This entry pairs a crystal structure of Al2GaAg4 with its computed powder diffraction line list. Radiation: Cu Kα X-rays. Structure: a crystal structure in Alexandria, relaxed with PBE.
Neutral-atom scattering factors, no anomalous dispersion.

Atomic structure:
```
Al2GaAg4
1.0
4.726 0.000 0.000
-0.437 7.358 0.000
-0.793 -3.432 7.295
Al Ga Ag
4 2 8
Cartesian
0.000 0.000 0.000
-0.228 -0.628 5.245
0.957 2.603 0.720
1.991 -1.481 3.697
0.419 1.974 6.083
3.293 2.624 2.130
-0.273 5.124 1.735
0.229 0.469 2.687
0.972 3.184 3.439
1.522 -2.512 6.149
2.512 -0.593 1.264
2.686 1.128 4.312
2.437 0.201 6.920
3.383 4.152 4.603
```

Most intense lines, 2θ from 10° to 90°, by intensity:
(1 -1 3), 40.49°, I = 1000; (1 2 0), 34.77°, I = 957; (1 0 -3), 39.37°, I = 660; (2 -1 0), 39.42°, I = 559; (0 3 -3), 41.83°, I = 520; (1 -3 0), 43.13°, I = 411; (0 1 -2), 22.25°, I = 319; (1 0 -2), 28.94°, I = 264; (-1 2 1), 36.83°, I = 260; (2 -1 1), 41.22°, I = 176